# 1
This entry pairs a crystal structure of Cu3Sb with its theoretical X-ray powder pattern. Radiation: Cu Kα X-rays. Structure: DFT lattice parameters and positions (PBE).

Cell and atoms:
Cell lengths 6.226, 6.226, 6.226 Å; angles 90.00, 90.00, 90.00 degrees
Space group Fm-3m (No. 225)
Asymmetric unit:
Cu (0.000, 0.000, 0.000)
Cu (0.250, 0.250, 0.250)
Sb (0.000, 0.000, 0.500)

Most intense lines, 15° ≤ 2θ ≤ 90°, sorted by position:
3.595 Å, 2θ = 24.77°, I = 6, (1 1 1)
3.113 Å, 2θ = 28.68°, I = 3, (2 0 0)
2.201 Å, 2θ = 41.00°, I = 100, (2 2 0)
1.877 Å, 2θ = 48.50°, I = 3, (3 1 1)
1.556 Å, 2θ = 59.38°, I = 16, (4 0 0)
1.428 Å, 2θ = 65.33°, I = 1, (3 3 1)
1.392 Å, 2θ = 67.25°, I = 1, (4 2 0)
1.271 Å, 2θ = 74.69°, I = 31, (4 2 2)
1.198 Å, 2θ = 80.09°, I = 1, (5 1 1)
1.101 Å, 2θ = 88.93°, I = 10, (4 4 0)

***

# 2
This entry pairs a crystal structure of KAsOF4 with its theoretical X-ray powder pattern. Radiation: Cu Kα X-rays. Structure: DFT lattice parameters and positions (PBE).

Cell and atoms:
Cell lengths 5.402, 5.949, 14.500 Å; angles 90.00, 109.47, 90.00 degrees
Space group P2_1/c (No. 14)
Asymmetric unit:
K (0.143, 0.131, 0.148)
As (0.473, 0.118, 0.417)
O (0.332, 0.119, 0.515)
F (0.220, 0.564, 0.839)
F (0.273, 0.154, 0.853)
F (0.278, 0.675, 0.526)
F (0.378, 0.598, 0.176)

Most intense lines, 15° ≤ 2θ ≤ 90°, sorted by position:
5.455 Å, 2θ = 16.25°, I = 62, (0 1 1)
5.094 Å, 2θ = 17.41°, I = 71, (1 0 0)
4.488 Å, 2θ = 19.78°, I = 25, (0 1 2)
3.998 Å, 2θ = 22.24°, I = 100, (1 1 -1)
3.805 Å, 2θ = 23.38°, I = 74, (1 1 -2)
3.418 Å, 2θ = 26.07°, I = 27, (0 0 4)
3.052 Å, 2θ = 29.26°, I = 31, (1 1 2)
2.962 Å, 2θ = 30.17°, I = 41, (1 1 -4)
2.092 Å, 2θ = 43.24°, I = 57, (1 2 3)
2.076 Å, 2θ = 43.59°, I = 33, (2 0 -6)